No. 1
For Na2Hf2MgS6, a crystal structure in Alexandria, relaxed with GGA-PBE gives the computed X-ray powder pattern in this record (Cu Ka).
Peak positions follow from Bragg's law for the DFT cell and can differ from measured ones.

Structure:
```
data_Na2Hf2MgS6
_chemical_formula_sum 'Na4 Hf4 Mg2 S12'
_symmetry_space_group_name_H-M 'C 1 2/m 1'
_symmetry_Int_Tables_number 12
_cell_length_a 6.3983
_cell_length_b 11.1885
_cell_length_c 7.1048
_cell_angle_alpha 90.00
_cell_angle_beta 107.23
_cell_angle_gamma 90.00
loop_
_symmetry_equiv_pos_as_xyz
'x,y,z'
'-x,-y,-z'
'-x,y,-z'
'x,-y,z'
'x+1/2,y+1/2,z'
'-x+1/2,-y+1/2,-z'
'-x+1/2,y+1/2,-z'
'x+1/2,-y+1/2,z'
loop_
_atom_site_label
_atom_site_type_symbol
_atom_site_fract_x
_atom_site_fract_y
_atom_site_fract_z
_atom_site_occupancy
Na1 Na 0.0000 0.1640 0.0000 1
Hf1 Hf 0.0000 0.3336 0.5000 1
Mg1 Mg 0.0000 0.0000 0.5000 1
S1 S 0.2297 0.5000 0.7107 1
S2 S 0.2404 0.1722 0.7124 1
```

Most intense lines, 10 to 80 degrees two-theta, low angle first:
(hkl)	Position (°2θ)	I/Imax
0 0 1	13.0	100
0 2 0	15.8	15
1 1 0	16.5	13
1 1 -1	18.2	21
1 3 0	28.0	22
1 3 1	32.9	58
2 0 -2	33.1	29
1 3 2	41.8	18
1 3 -3	45.5	21
3 3 -1	49.2	19
3 3 0	51.1	14
2 0 3	57.4	14

No. 2
For HfMg6Ni, a crystal structure in Alexandria, relaxed with GGA-PBE gives the computed X-ray powder pattern in this record (Cu Ka).
Peak positions follow from Bragg's law for the DFT cell and can differ from measured ones.

Structure:
```
data_HfMg6Ni
_chemical_formula_sum 'Hf2 Mg12 Ni2'
_symmetry_space_group_name_H-M 'A m m 2'
_symmetry_Int_Tables_number 38
_cell_length_a 4.8108
_cell_length_b 6.0775
_cell_length_c 11.1142
_cell_angle_alpha 90.00
_cell_angle_beta 90.00
_cell_angle_gamma 90.00
loop_
_symmetry_equiv_pos_as_xyz
'x,y,z'
'-x,-y,z'
'-x,y,z'
'x,-y,z'
'x,y+1/2,z+1/2'
'-x,-y+1/2,z+1/2'
'-x,y+1/2,z+1/2'
'x,-y+1/2,z+1/2'
loop_
_atom_site_label
_atom_site_type_symbol
_atom_site_fract_x
_atom_site_fract_y
_atom_site_fract_z
_atom_site_occupancy
Hf1 Hf 0.0000 0.0000 0.0000 1
Mg1 Mg 0.0000 0.0000 0.4735 1
Mg2 Mg 0.0000 0.2451 0.2336 1
Mg3 Mg 0.5000 0.0000 0.6321 1
Mg4 Mg 0.5000 0.2436 0.8867 1
Ni1 Ni 0.5000 0.0000 0.1127 1
```

Most intense lines, 10 to 80 degrees two-theta, low angle first:
(hkl)	Position (°2θ)	I/Imax
0 0 2	15.9	46
0 1 1	16.6	100
1 0 2	24.5	23
1 1 1	24.9	31
0 2 2	33.6	41
1 1 3	33.9	30
2 0 0	37.4	88
1 2 2	38.6	64
2 1 1	41.2	21
1 1 5	47.5	26
2 2 2	51.1	25
2 4 0	73.8	23

No. 3
For HfMgNi6, a crystal structure in Alexandria, relaxed with GGA-PBE gives the computed X-ray powder pattern in this record (Cu Ka).
Peak positions follow from Bragg's law for the DFT cell and can differ from measured ones.

Structure:
```
data_HfMgNi6
_chemical_formula_sum 'Hf8 Mg8 Ni48'
_symmetry_space_group_name_H-M 'C m m m'
_symmetry_Int_Tables_number 65
_symmetry_space_group_name_Hall '-C 2 2'
_cell_length_a 7.3548
_cell_length_b 10.4587
_cell_length_c 10.4435
_cell_angle_alpha 90.00
_cell_angle_beta 90.00
_cell_angle_gamma 90.00
loop_
_atom_site_label
_atom_site_type_symbol
_atom_site_fract_x
_atom_site_fract_y
_atom_site_fract_z
_atom_site_occupancy
Hf1 Hf 0.0000 0.0000 0.2472 1
Hf2 Hf 0.0000 0.2475 0.5000 1
Mg1 Mg 0.0000 0.2465 0.0000 1
Mg2 Mg 0.0000 0.5000 0.2483 1
Ni1 Ni 0.0000 0.0000 0.0000 1
Ni2 Ni 0.0000 0.0000 0.5000 1
Ni3 Ni 0.0000 0.2502 0.2476 1
Ni4 Ni 0.0000 0.5000 0.0000 1
Ni5 Ni 0.0000 0.5000 0.5000 1
Ni6 Ni 0.2468 0.3739 0.1234 1
Ni7 Ni 0.2477 0.3757 0.3735 1
```

Most intense lines, 10 to 80 degrees two-theta, low angle first:
(hkl)	Position (°2θ)	I/Imax
1 1 0	14.7	10
0 2 1	19.0	6
1 1 2	22.5	8
0 0 3	25.6	5
2 2 1	30.9	6
1 3 2	33.2	4
2 4 0	42.4	100
0 4 4	49.3	32
4 0 0	49.6	16
0 8 0	72.3	5
0 0 8	72.4	5
4 4 4	72.5	19

Q: Number 3 is which compound?
A: HfMgNi6

Copy entry 3 word for word.
For HfMgNi6, a crystal structure in Alexandria, relaxed with GGA-PBE gives the computed X-ray powder pattern in this record (Cu Ka).
Peak positions follow from Bragg's law for the DFT cell and can differ from measured ones.

Structure:
```
data_HfMgNi6
_chemical_formula_sum 'Hf8 Mg8 Ni48'
_symmetry_space_group_name_H-M 'C m m m'
_symmetry_Int_Tables_number 65
_symmetry_space_group_name_Hall '-C 2 2'
_cell_length_a 7.3548
_cell_length_b 10.4587
_cell_length_c 10.4435
_cell_angle_alpha 90.00
_cell_angle_beta 90.00
_cell_angle_gamma 90.00
loop_
_atom_site_label
_atom_site_type_symbol
_atom_site_fract_x
_atom_site_fract_y
_atom_site_fract_z
_atom_site_occupancy
Hf1 Hf 0.0000 0.0000 0.2472 1
Hf2 Hf 0.0000 0.2475 0.5000 1
Mg1 Mg 0.0000 0.2465 0.0000 1
Mg2 Mg 0.0000 0.5000 0.2483 1
Ni1 Ni 0.0000 0.0000 0.0000 1
Ni2 Ni 0.0000 0.0000 0.5000 1
Ni3 Ni 0.0000 0.2502 0.2476 1
Ni4 Ni 0.0000 0.5000 0.0000 1
Ni5 Ni 0.0000 0.5000 0.5000 1
Ni6 Ni 0.2468 0.3739 0.1234 1
Ni7 Ni 0.2477 0.3757 0.3735 1
```

Most intense lines, 10 to 80 degrees two-theta, low angle first:
(hkl)	Position (°2θ)	I/Imax
1 1 0	14.7	10
0 2 1	19.0	6
1 1 2	22.5	8
0 0 3	25.6	5
2 2 1	30.9	6
1 3 2	33.2	4
2 4 0	42.4	100
0 4 4	49.3	32
4 0 0	49.6	16
0 8 0	72.3	5
0 0 8	72.4	5
4 4 4	72.5	19